No. 1
Calculated powder diffraction line list
Compound: Pm4Y10Th
Radiation: Cu Kα (weighted mean of Kα1 and Kα2)
Structure: a DFT-relaxed cell (PBE, Alexandria)

Crystal structure
a b c (Å): 8.9607 8.9607 8.9607
angles (deg): 101.71 101.71 126.46
Element x y z (fractional)
1 Pm 0.2252 0.2252 0.4504
2 Pm 0.2252 0.7748 0.0000
3 Pm 0.7748 0.2252 0.0000
4 Pm 0.7748 0.7748 0.5496
5 Y 0.0871 0.2947 0.7924
6 Y 0.2500 0.7500 0.5000
7 Y 0.2947 0.0871 0.7924
8 Y 0.2947 0.5023 0.2076
9 Y 0.4977 0.7053 0.7924
10 Y 0.5023 0.2947 0.2076
11 Y 0.7053 0.4977 0.7924
12 Y 0.7053 0.9129 0.2076
13 Y 0.7500 0.2500 0.5000
14 Y 0.9129 0.7053 0.2076
15 Th 0.0000 0.0000 0.0000

Top 6 peaks for 5 to 70 degrees two-theta, in order of rising 2θ:
Position (°2θ), Rel. int.
27.1, 38
30.6, 71
31.5, 100
31.6, 82
33.5, 35
40.5, 38


No. 2
Calculated powder diffraction line list
Compound: PmTh2Zn3
Radiation: Cu Kα (weighted mean of Kα1 and Kα2)
Structure: a DFT-relaxed cell (PBE, Alexandria)

Crystal structure
a b c (Å): 5.1760 5.1760 6.3566
angles (deg): 90.00 90.00 120.00
Element x y z (fractional)
1 Pm 0.0000 0.0000 0.0000
2 Th 0.3333 0.6667 0.6636
3 Th 0.6667 0.3333 0.3364
4 Zn 0.0000 0.0000 0.5000
5 Zn 0.3333 0.6667 0.1636
6 Zn 0.6667 0.3333 0.8364

Top 6 peaks for 5 to 70 degrees two-theta, in order of rising 2θ:
Position (°2θ), Rel. int.
24.3, 27
34.6, 100
49.8, 18
56.1, 12
62.0, 9
62.1, 28


No. 3
Calculated powder diffraction line list
Compound: Pm2ThZn6
Radiation: Cu Kα (weighted mean of Kα1 and Kα2)
Structure: a DFT-relaxed cell (PBE, Alexandria)

Crystal structure
a b c (Å): 7.9167 7.9167 3.5679
angles (deg): 90.00 90.00 120.00
Element x y z (fractional)
1 Pm 0.3333 0.6667 0.0000
2 Pm 0.6667 0.3333 0.0000
3 Th 0.0000 0.0000 0.0000
4 Zn 0.0000 0.3349 0.5000
5 Zn 0.0000 0.6651 0.5000
6 Zn 0.3349 0.0000 0.5000
7 Zn 0.3349 0.3349 0.5000
8 Zn 0.6651 0.0000 0.5000
9 Zn 0.6651 0.6651 0.5000

Top 6 peaks for 5 to 70 degrees two-theta, in order of rising 2θ:
Position (°2θ), Rel. int.
22.5, 24
33.8, 100
39.4, 55
52.9, 28
66.5, 23
67.9, 26


No. 4
Calculated powder diffraction line list
Compound: PmTh2Zn9
Radiation: Cu Kα (weighted mean of Kα1 and Kα2)
Structure: a DFT-relaxed cell (PBE, Alexandria)

Crystal structure
a b c (Å): 9.3549 9.3549 9.3549
angles (deg): 34.25 34.25 34.25
Element x y z (fractional)
1 Pm 0.0000 0.0000 0.0000
2 Th 0.1446 0.1446 0.1446
3 Th 0.8554 0.8554 0.8554
4 Zn 0.0746 0.5834 0.5834
5 Zn 0.3353 0.3353 0.3353
6 Zn 0.4166 0.4166 0.9254
7 Zn 0.4166 0.9254 0.4166
8 Zn 0.5000 0.5000 0.5000
9 Zn 0.5834 0.0746 0.5834
10 Zn 0.5834 0.5834 0.0746
11 Zn 0.6647 0.6647 0.6647
12 Zn 0.9254 0.4166 0.4166

Top 6 peaks for 5 to 70 degrees two-theta, in order of rising 2θ:
Position (°2θ), Rel. int.
30.2, 47
32.5, 54
33.0, 30
37.9, 35
38.6, 100
62.0, 24


No. 5
Calculated powder diffraction line list
Compound: Pm2ThZn3
Radiation: Cu Kα (weighted mean of Kα1 and Kα2)
Structure: a DFT-relaxed cell (PBE, Alexandria)

Crystal structure
a b c (Å): 5.1815 5.1815 6.3402
angles (deg): 90.00 90.00 120.00
Element x y z (fractional)
1 Pm 0.3333 0.6667 0.1643
2 Pm 0.6667 0.3333 0.8357
3 Th 0.0000 0.0000 0.5000
4 Zn 0.0000 0.0000 0.0000
5 Zn 0.3333 0.6667 0.6626
6 Zn 0.6667 0.3333 0.3374

Top 6 peaks for 5 to 70 degrees two-theta, in order of rising 2θ:
Position (°2θ), Rel. int.
24.3, 22
34.6, 100
42.8, 7
49.8, 18
56.2, 9
62.1, 37


No. 6
Calculated powder diffraction line list
Compound: Pm5Ti
Radiation: Cu Kα (weighted mean of Kα1 and Kα2)
Structure: a DFT-relaxed cell (PBE, Alexandria)

Crystal structure
a b c (Å): 7.9430 7.9430 4.9728
angles (deg): 90.00 90.00 143.70
Element x y z (fractional)
1 Pm 0.0000 0.0000 0.0000
2 Pm 0.1577 0.8423 0.5000
3 Pm 0.3404 0.6596 0.0000
4 Pm 0.6596 0.3404 0.0000
5 Pm 0.8423 0.1577 0.5000
6 Ti 0.5000 0.5000 0.5000

Top 6 peaks for 5 to 70 degrees two-theta, in order of rising 2θ:
Position (°2θ), Rel. int.
31.1, 100
35.7, 16
36.1, 17
36.3, 17
61.8, 14
62.1, 14


No. 7
Calculated powder diffraction line list
Compound: Pm2Tl3
Radiation: Cu Kα (weighted mean of Kα1 and Kα2)
Structure: a DFT-relaxed cell (PBE, Alexandria)

Crystal structure
a b c (Å): 12.5126 4.3994 11.0944
angles (deg): 90.00 90.00 90.00
Element x y z (fractional)
1 Pm 0.0047 0.2500 0.1595
2 Pm 0.1609 0.2500 0.5682
3 Pm 0.3391 0.7500 0.0682
4 Pm 0.4953 0.7500 0.6595
5 Pm 0.5047 0.2500 0.3405
6 Pm 0.6609 0.2500 0.9318
7 Pm 0.8391 0.7500 0.4318
8 Pm 0.9953 0.7500 0.8405
9 Tl 0.0890 0.7500 0.3549
10 Tl 0.1655 0.2500 0.9404
11 Tl 0.2479 0.7500 0.7567
12 Tl 0.2521 0.2500 0.2567
13 Tl 0.3345 0.7500 0.4404
14 Tl 0.4110 0.2500 0.8549
15 Tl 0.5890 0.7500 0.1451
16 Tl 0.6655 0.2500 0.5596
17 Tl 0.7479 0.7500 0.7433
18 Tl 0.7521 0.2500 0.2433
19 Tl 0.8345 0.7500 0.0596
20 Tl 0.9110 0.2500 0.6451

Top 6 peaks for 5 to 70 degrees two-theta, in order of rising 2θ:
Position (°2θ), Rel. int.
26.8, 84
29.6, 70
31.6, 97
36.2, 100
41.0, 63
64.9, 53


No. 8
Calculated powder diffraction line list
Compound: Pm4Tl3
Radiation: Cu Kα (weighted mean of Kα1 and Kα2)
Structure: a DFT-relaxed cell (PBE, Alexandria)

Crystal structure
a b c (Å): 8.7546 8.7546 8.7546
angles (deg): 113.59 113.59 113.59
Element x y z (fractional)
1 Pm 0.0000 0.0000 0.0000
2 Pm 0.0736 0.7648 0.6212
3 Pm 0.2352 0.3788 0.9264
4 Pm 0.3788 0.9264 0.2352
5 Pm 0.5000 0.5000 0.5000
6 Pm 0.6212 0.0736 0.7648
7 Pm 0.7648 0.6212 0.0736
8 Pm 0.9264 0.2352 0.3788
9 Tl 0.1242 0.5225 0.2490
10 Tl 0.2490 0.1242 0.5225
11 Tl 0.4775 0.7510 0.8758
12 Tl 0.5225 0.2490 0.1242
13 Tl 0.7510 0.8758 0.4775
14 Tl 0.8758 0.4775 0.7510

Top 6 peaks for 5 to 70 degrees two-theta, in order of rising 2θ:
Position (°2θ), Rel. int.
28.6, 4
32.3, 100
46.4, 17
57.7, 30
61.4, 3
67.7, 9


No. 9
Calculated powder diffraction line list
Compound: Pm7Tl5
Radiation: Cu Kα (weighted mean of Kα1 and Kα2)
Structure: a DFT-relaxed cell (PBE, Alexandria)

Crystal structure
a b c (Å): 6.4379 6.4379 14.2687
angles (deg): 110.01 110.01 44.94
Element x y z (fractional)
1 Pm 0.0000 0.0000 0.0000
2 Pm 0.1696 0.1696 0.5363
3 Pm 0.2275 0.2275 0.8181
4 Pm 0.4790 0.4790 0.7144
5 Pm 0.5210 0.5210 0.2856
6 Pm 0.7725 0.7725 0.1819
7 Pm 0.8304 0.8304 0.4637
8 Tl 0.2004 0.2004 0.2980
9 Tl 0.3454 0.3454 0.0575
10 Tl 0.5000 0.5000 0.5000
11 Tl 0.6546 0.6546 0.9425
12 Tl 0.7996 0.7996 0.7020

Top 6 peaks for 5 to 70 degrees two-theta, in order of rising 2θ:
Position (°2θ), Rel. int.
29.0, 86
29.3, 78
31.0, 100
33.0, 76
36.0, 74
36.5, 89


No. 10
Calculated powder diffraction line list
Compound: PmTm2Tl3
Radiation: Cu Kα (weighted mean of Kα1 and Kα2)
Structure: a DFT-relaxed cell (PBE, Alexandria)

Crystal structure
a b c (Å): 3.7532 3.7532 11.6400
angles (deg): 90.00 90.00 90.00
Element x y z (fractional)
1 Pm 0.0000 0.0000 0.0000
2 Tm 0.0000 0.0000 0.3385
3 Tm 0.0000 0.0000 0.6615
4 Tl 0.5000 0.5000 0.1782
5 Tl 0.5000 0.5000 0.5000
6 Tl 0.5000 0.5000 0.8218

Top 6 peaks for 5 to 70 degrees two-theta, in order of rising 2θ:
Position (°2θ), Rel. int.
33.2, 100
33.8, 49
48.5, 18
59.0, 19
60.1, 37
69.7, 11


No. 11
Calculated powder diffraction line list
Compound: PmTmTl
Radiation: Cu Kα (weighted mean of Kα1 and Kα2)
Structure: a DFT-relaxed cell (PBE, Alexandria)

Crystal structure
a b c (Å): 5.4331 5.4331 6.7796
angles (deg): 90.00 90.00 120.00
Element x y z (fractional)
1 Pm 0.0000 0.0000 0.0000
2 Pm 0.0000 0.0000 0.5000
3 Tm 0.3333 0.6667 0.2500
4 Tm 0.6667 0.3333 0.7500
5 Tl 0.3333 0.6667 0.7500
6 Tl 0.6667 0.3333 0.2500

Top 6 peaks for 5 to 70 degrees two-theta, in order of rising 2θ:
Position (°2θ), Rel. int.
32.6, 86
33.0, 100
47.0, 31
58.6, 32
58.9, 19
64.8, 29


No. 12
Calculated powder diffraction line list
Compound: PmTmTl4
Radiation: Cu Kα (weighted mean of Kα1 and Kα2)
Structure: a DFT-relaxed cell (PBE, Alexandria)

Crystal structure
a b c (Å): 5.1263 5.1263 7.4242
angles (deg): 90.00 90.00 90.00
Element x y z (fractional)
1 Pm 0.0000 0.0000 0.0000
2 Tm 0.5000 0.5000 0.5000
3 Tl 0.0000 0.5000 0.2635
4 Tl 0.0000 0.5000 0.7365
5 Tl 0.5000 0.0000 0.2635
6 Tl 0.5000 0.0000 0.7365

Top 6 peaks for 5 to 70 degrees two-theta, in order of rising 2θ:
Position (°2θ), Rel. int.
21.1, 29
24.6, 23
34.6, 100
35.0, 49
61.7, 18
62.5, 37